# 1
Pr3Zn2: calculated PXRD pattern (Cu Kα), based on DFT lattice parameters and positions (GGA-PBE).

Main lines, in order of rising 2θ (10 to 80 degrees two-theta):
Position (°2θ)	d [Å]	I/Imax
23.95	3.715	10
29.89	2.989	15
32.80	2.730	100
34.13	2.627	68
36.07	2.490	24
49.04	1.857	24
56.01	1.642	8
60.26	1.536	34
61.78	1.502	13
62.37	1.489	9

Cell lengths 3.7149, 3.7149, 20.1337 Å; angles 90.00, 90.00, 90.00 degrees
Element x y z (fractional)
1 Pr 0.0000 0.0000 0.0000
2 Pr 0.0000 0.0000 0.1836
3 Pr 0.0000 0.0000 0.3676
4 Pr 0.0000 0.0000 0.6324
5 Pr 0.0000 0.0000 0.8164
6 Pr 0.5000 0.5000 0.5000
7 Zn 0.5000 0.5000 0.0923
8 Zn 0.5000 0.5000 0.2771
9 Zn 0.5000 0.5000 0.7229
10 Zn 0.5000 0.5000 0.9077

# 2
Ac5HSe5: calculated PXRD pattern (Cu Kα), based on DFT lattice parameters and positions (GGA-PBE).

Main lines, in order of rising 2θ (10 to 80 degrees two-theta):
Position (°2θ)	d [Å]	I/Imax
24.74	3.599	59
28.53	3.129	100
28.87	3.093	45
40.78	2.213	38
41.03	2.200	71
48.28	1.885	21
50.70	1.801	22
50.77	1.798	18
66.86	1.399	19
74.39	1.275	19

Cell lengths 7.6007, 7.6007, 8.8035 Å; angles 106.26, 106.26, 48.65 degrees
Element x y z (fractional)
1 Ac 0.0000 0.0000 0.0000
2 Ac 0.3333 0.3333 0.6628
3 Ac 0.3493 0.3493 0.1627
4 Ac 0.6507 0.6507 0.8373
5 Ac 0.6667 0.6667 0.3372
6 H 0.5000 0.5000 0.0000
7 Se 0.1700 0.1700 0.8390
8 Se 0.1775 0.1775 0.3281
9 Se 0.5000 0.5000 0.5000
10 Se 0.8225 0.8225 0.6719
11 Se 0.8300 0.8300 0.1610

# 3
Nb2SiB: calculated PXRD pattern (Cu Kα), based on DFT lattice parameters and positions (GGA-PBE).

Main lines, in order of rising 2θ (10 to 80 degrees two-theta):
Position (°2θ)	d [Å]	I/Imax
27.10	3.290	30
33.08	2.708	66
38.32	2.349	100
38.89	2.316	28
39.08	2.305	29
39.26	2.295	25
48.04	1.894	17
51.89	1.762	17
54.73	1.677	16
69.29	1.356	10

Cell lengths 4.9242, 3.3541, 6.9838 Å; angles 90.00, 109.84, 90.00 degrees
Element x y z (fractional)
1 Nb 0.2015 0.2500 0.4144
2 Nb 0.2617 0.7500 0.0608
3 Nb 0.7383 0.2500 0.9392
4 Nb 0.7985 0.7500 0.5856
5 Si 0.3577 0.7500 0.7167
6 Si 0.6423 0.2500 0.2833
7 B 0.1356 0.2500 0.7870
8 B 0.8644 0.7500 0.2130